(1)
Diffraction record for Y4Co16B3C. The powder diffractogram is calculated, not measured: it uses the GGA-PBE geometry in Alexandria and CuKα.
No peak broadening, texture or thermal motion is included.

Atomic structure:
```
data_Y4Co16B3C
_chemical_formula_sum 'Y4 Co16 B3 C1'
_cell_length_a 5.0183
_cell_length_b 5.0183
_cell_length_c 13.5655
_cell_angle_alpha 90.00
_cell_angle_beta 90.00
_cell_angle_gamma 120.00
_symmetry_space_group_name_H-M 'P -6 m 2'
_symmetry_Int_Tables_number 187
_symmetry_space_group_name_Hall 'P -6 2'
loop_
_atom_site_label
_atom_site_fract_x
_atom_site_fract_y
_atom_site_fract_z
_atom_site_occupancy
Y1 0.0000 0.0000 0.0000 1
Y2 0.0000 0.0000 0.2487 1
Y3 0.0000 0.0000 0.5000 1
Co1 0.9997 0.4998 0.3932 1
Co2 0.0043 0.5021 0.1015 1
Co3 0.3333 0.6667 0.2495 1
Co4 0.6667 0.3333 0.2473 1
B1 0.3333 0.6667 0.5000 1
B2 0.6667 0.3333 0.0000 1
B3 0.6667 0.3333 0.5000 1
C1 0.3333 0.6667 0.0000 1
```

The 8 most intense peaks (2θ from 10° to 80°), low angle first:
| two_theta | d [Å] | Rel. int. | (hkl) |
| --- | --- | --- | --- |
| 33.5 | 2.674 | 60 | 1 0 4 |
| 35.8 | 2.509 | 21 | 1 1 0 |
| 39.9 | 2.261 | 18 | 0 0 6 |
| 41.6 | 2.173 | 81 | 2 0 0 |
| 44.9 | 2.017 | 100 | 1 1 4 |
| 62.9 | 1.478 | 19 | 2 1 4 |
| 70.7 | 1.332 | 24 | 3 0 4 |
| 75.8 | 1.255 | 25 | 2 2 0 |

***

(2)
Diffraction record for Sm3Dy8Mg. The powder diffractogram is calculated, not measured: it uses the GGA-PBE geometry in Alexandria and CuKα.
No peak broadening, texture or thermal motion is included.

Atomic structure:
```
data_Sm3Dy8Mg
_chemical_formula_sum 'Sm3 Dy8 Mg1'
_cell_length_a 9.4971
_cell_length_b 3.5852
_cell_length_c 11.5422
_cell_angle_alpha 90.00
_cell_angle_beta 104.34
_cell_angle_gamma 90.00
_symmetry_space_group_name_H-M 'P 1 m 1'
_symmetry_Int_Tables_number 6
_symmetry_space_group_name_Hall 'P -2y'
loop_
_atom_site_label
_atom_site_fract_x
_atom_site_fract_y
_atom_site_fract_z
_atom_site_occupancy
Sm1 0.0000 0.0000 0.0000 1
Sm2 0.2146 0.5000 0.5170 1
Sm3 0.4843 0.5000 0.7950 1
Dy1 0.1582 0.0000 0.7681 1
Dy2 0.3264 0.5000 0.0339 1
Dy3 0.5470 0.0000 0.5492 1
Dy4 0.5994 0.5000 0.2992 1
Dy5 0.6632 0.0000 0.0546 1
Dy6 0.8258 0.5000 0.7446 1
Dy7 0.8867 0.0000 0.4915 1
Dy8 0.9552 0.5000 0.2459 1
Mg1 0.2764 0.0000 0.2727 1
```

The 8 most intense peaks (2θ from 10° to 80°), low angle first:
| two_theta | d [Å] | Rel. int. | (hkl) |
| --- | --- | --- | --- |
| 29.6 | 3.019 | 49 | 0 1 2 |
| 31.4 | 2.847 | 41 | 2 1 -1 |
| 32.0 | 2.796 | 68 | 0 0 4 |
| 32.1 | 2.787 | 73 | 3 0 1 |
| 32.4 | 2.760 | 100 | 1 1 2 |
| 32.9 | 2.722 | 44 | 3 0 -3 |
| 33.3 | 2.694 | 65 | 2 1 -2 |
| 61.5 | 1.508 | 45 | 3 2 1 |

***

(3)
Diffraction record for AcIn2AgAu2. The powder diffractogram is calculated, not measured: it uses the GGA-PBE geometry in Alexandria and CuKα.
No peak broadening, texture or thermal motion is included.

Atomic structure:
```
data_AcIn2AgAu2
_chemical_formula_sum 'Ac2 In4 Ag2 Au4'
_cell_length_a 5.4677
_cell_length_b 5.4677
_cell_length_c 11.7137
_cell_angle_alpha 90.00
_cell_angle_beta 90.00
_cell_angle_gamma 90.00
_symmetry_space_group_name_H-M 'I 4/m m m'
_symmetry_Int_Tables_number 139
_symmetry_space_group_name_Hall '-I 4 2'
loop_
_atom_site_label
_atom_site_fract_x
_atom_site_fract_y
_atom_site_fract_z
_atom_site_occupancy
Ac1 0.0000 0.0000 0.0000 1
In1 0.0000 0.5000 0.2500 1
Ag1 0.0000 0.0000 0.5000 1
Au1 0.0000 0.0000 0.2694 1
```

The 8 most intense peaks (2θ from 10° to 80°), low angle first:
| two_theta | d [Å] | Rel. int. | (hkl) |
| --- | --- | --- | --- |
| 15.1 | 5.857 | 27 | 0 0 2 |
| 23.0 | 3.866 | 63 | 1 1 0 |
| 30.5 | 2.928 | 54 | 0 0 4 |
| 32.8 | 2.734 | 100 | 2 0 0 |
| 38.6 | 2.334 | 28 | 1 1 4 |
| 45.4 | 1.998 | 74 | 2 0 4 |
| 47.0 | 1.933 | 37 | 2 2 0 |
| 57.1 | 1.613 | 37 | 2 2 4 |